(1)
# CsRb6Hg2O
Computed powder diffractogram, Cu Kα X-rays. Input: a cell relaxed with GGA-PBE.

Structural model:
a = 13.5047 Å, b = 13.5047 Å, c = 13.5047 Å
α = 47.22°, β = 47.22°, γ = 47.22°
Positions (direct):
Cs  0.0709  0.0709  0.0709
Cs  0.9291  0.9291  0.9291
Rb  0.1638  0.1638  0.5781
Rb  0.1638  0.5781  0.1638
Rb  0.2970  0.6665  0.6665
Rb  0.3335  0.3335  0.7030
Rb  0.3335  0.7030  0.3335
Rb  0.4219  0.8362  0.8362
Rb  0.5781  0.1638  0.1638
Rb  0.6665  0.2970  0.6665
Rb  0.6665  0.6665  0.2970
Rb  0.7030  0.3335  0.3335
Rb  0.8362  0.4219  0.8362
Rb  0.8362  0.8362  0.4219
Hg  0.2035  0.2035  0.2035
Hg  0.3750  0.3750  0.3750
Hg  0.6250  0.6250  0.6250
Hg  0.7965  0.7965  0.7965
O  0.0000  0.0000  0.0000
O  0.5000  0.5000  0.5000

Main lines, by angle (2θ from 15° to 90°):
2θ (°)  d [Å]  I/Imax
16.39  5.409  80
19.59  4.533  18
19.73  4.501  18
22.66  3.924  55
25.27  3.524  24
25.75  3.460  100
30.68  2.914  19
32.33  2.769  22
33.12  2.704  45
38.85  2.318  27



(2)
# Na2AcB2S6
Computed powder diffractogram, Cu Kα X-rays. Input: a cell relaxed with GGA-PBE.

Structural model:
a = 6.5932 Å, b = 6.5932 Å, c = 7.7421 Å
α = 90.00°, β = 90.00°, γ = 120.00°
Positions (direct):
Na  0.3333  0.6667  0.4116
Na  0.6667  0.3333  0.5884
Ac  0.0000  0.0000  0.0000
B  0.3333  0.6667  0.7748
B  0.6667  0.3333  0.2252
S  0.0662  0.3861  0.7594
S  0.3199  0.9338  0.7594
S  0.3861  0.3199  0.2406
S  0.6139  0.6801  0.7594
S  0.6801  0.0662  0.2406
S  0.9338  0.6139  0.2406

Main lines, by angle (2θ from 15° to 90°):
2θ (°)  d [Å]  I/Imax
15.52  5.710  37
19.32  4.595  100
27.05  3.297  15
27.84  3.204  41
29.45  3.033  34
33.45  2.679  28
35.78  2.510  35
38.27  2.352  18
43.53  2.079  27
44.59  2.032  15



(3)
# AlBiSe
Computed powder diffractogram, Cu Kα X-rays. Input: a cell relaxed with GGA-PBE.

Structural model:
a = 6.5788 Å, b = 3.7980 Å, c = 7.8368 Å
α = 90.00°, β = 105.53°, γ = 90.00°
Positions (direct):
Al  0.1152  0.2500  0.1642
Al  0.8848  0.7500  0.8358
Bi  0.1954  0.2500  0.5294
Bi  0.8046  0.7500  0.4706
Se  0.2539  0.7500  0.0263
Se  0.7461  0.2500  0.9737

Main lines, by angle (2θ from 15° to 90°):
2θ (°)  d [Å]  I/Imax
23.57  3.775  72
23.99  3.710  29
27.39  3.257  31
28.16  3.169  40
28.30  3.153  100
31.37  2.852  71
42.25  2.139  23
46.26  1.963  25
47.90  1.899  27
48.67  1.871  27



(4)
# Ni5Sb3
Computed powder diffractogram, Cu Kα X-rays. Input: a cell relaxed with GGA-PBE.

Structural model:
a = 7.3772 Å, b = 5.3468 Å, c = 7.3815 Å
α = 90.00°, β = 119.94°, γ = 90.00°
Positions (direct):
Ni  0.9998  0.2500  0.1354
Ni  0.0002  0.7500  0.8646
Ni  0.3333  0.0000  0.1666
Ni  0.3333  0.5000  0.1666
Ni  0.3643  0.2500  0.8642
Ni  0.3648  0.7500  0.5000
Ni  0.6352  0.2500  0.5000
Ni  0.6357  0.7500  0.1358
Ni  0.6667  0.0000  0.8334
Ni  0.6667  0.5000  0.8334
Sb  0.9996  0.2500  0.8035
Sb  0.0004  0.7500  0.1965
Sb  0.3032  0.2500  0.4998
Sb  0.3042  0.7500  0.8040
Sb  0.6958  0.2500  0.1960
Sb  0.6968  0.7500  0.5002

Main lines, by angle (2θ from 15° to 90°):
2θ (°)  d [Å]  I/Imax
24.11  3.691  22
29.41  3.037  27
33.52  2.673  30
40.99  2.202  27
41.72  2.165  84
42.42  2.131  100
55.12  1.666  31
61.01  1.519  23
77.12  1.237  18
85.81  1.132  27